1.
Diffraction record for V3O4F2. The powder diffractogram is theoretical, not measured: it uses DFT lattice parameters and positions (GGA+U) and CuKα.

Crystal structure
```
18
Lattice="5.6145 0.0000 0.0000 0.0000 4.6696 0.0000 -0.4660 0.0000 7.7023" Properties=species:S:1:pos:R:3 pbc="T T T"
V 0.3128 0.0000 2.6803
V 1.4833 2.4986 0.0381
V 1.8883 0.2076 5.3193
V 3.2602 2.5424 2.3830
V 3.6652 0.1638 7.6642
V 4.8357 2.3348 5.0219
O 0.4240 3.8562 4.4427
O 0.8298 1.4806 5.9525
O 1.5436 3.3329 1.8244
O 2.0995 3.8479 6.8791
O 3.0490 1.5131 0.8232
O 3.6049 0.9981 5.8779
O 4.3187 3.8154 1.7497
O 4.7245 1.5214 3.2596
F 0.2772 0.9838 0.7828
F 1.9878 1.0586 3.4211
F 3.1606 3.3934 4.2812
F 4.8713 3.3186 6.9195
```

The 10 most intense peaks (15 to 90 degrees two-theta), in order of falling intensity:
2θ (°), d_spacing, Rel. int.
27.01, 3.301, 100.0
52.82, 1.733, 30.0
53.06, 1.726, 27.5
34.83, 2.576, 25.1
55.69, 1.651, 17.1
34.72, 2.584, 13.5
40.08, 2.250, 12.3
39.88, 2.261, 12.3
34.95, 2.567, 11.0
67.37, 1.390, 10.7



2.
Diffraction record for V6O7F5. The powder diffractogram is theoretical, not measured: it uses DFT lattice parameters and positions (GGA+U) and CuKα.

Crystal structure
```
18
Lattice="5.7533 0.0000 0.0000 -1.0585 5.9790 0.0000 -0.9625 -1.3959 5.9069" Properties=species:S:1:pos:R:3 pbc="T T T"
V 0.0000 0.0000 0.0000
V -0.3199 2.8749 1.5178
V 0.9034 0.3841 3.2327
V 0.6759 3.2701 4.7036
V 2.7185 1.5048 0.3975
V 3.6065 1.8545 4.4691
O -0.5298 1.8780 3.4401
O -0.9810 2.7196 5.8510
O 0.6535 -0.8982 4.8069
O 0.9926 1.4004 1.3754
O 1.6112 1.4662 4.8740
O 2.7815 3.5395 4.5130
O 3.7416 0.3635 5.7474
F -1.2555 5.2790 1.9380
F 0.7970 3.9775 2.7720
F 2.2772 5.5748 0.5402
F 2.9136 0.5828 3.0065
F 3.4407 2.8560 1.7031
```

The 10 most intense peaks (15 to 90 degrees two-theta), in order of falling intensity:
2θ (°), d_spacing, Rel. int.
30.63, 2.918, 100.0
31.55, 2.836, 91.7
32.82, 2.729, 84.0
19.64, 4.519, 66.8
32.17, 2.782, 62.8
51.48, 1.775, 44.2
52.65, 1.738, 38.7
54.32, 1.689, 37.8
52.96, 1.729, 33.7
55.16, 1.665, 30.1



3.
Diffraction record for VOF2. The powder diffractogram is theoretical, not measured: it uses DFT lattice parameters and positions (GGA+U) and CuKα.

Crystal structure
```
16
Lattice="5.2558 0.0000 0.0000 0.0000 5.0358 0.0000 -0.3409 0.0000 7.6060" Properties=species:S:1:pos:R:3 pbc="T T T"
V 0.0000 0.0000 0.0000
V -0.1704 0.0000 3.8030
V 2.6279 2.5179 0.0000
V 2.4575 2.5179 3.8030
O 0.9701 1.4413 3.5354
O 0.7996 3.5945 7.3384
O 4.1153 1.4413 0.2676
O 3.9449 3.5945 4.0706
F -0.2557 0.5321 5.7045
F -0.0852 4.5036 1.9015
F 1.5350 1.0283 0.5461
F 1.3645 4.0075 4.3491
F 2.3723 1.9609 5.7045
F 2.5427 3.0748 1.9015
F 3.5504 1.0283 3.2569
F 3.3800 4.0075 7.0599
```

The 10 most intense peaks (15 to 90 degrees two-theta), in order of falling intensity:
2θ (°), d_spacing, Rel. int.
24.49, 3.634, 100.0
23.39, 3.803, 47.6
50.21, 1.817, 19.3
33.58, 2.669, 15.8
53.71, 1.707, 12.6
55.35, 1.660, 12.1
55.59, 1.653, 10.7
39.81, 2.265, 10.3
47.84, 1.901, 9.9
40.99, 2.202, 8.3



4.
Diffraction record for V6O5F19. The powder diffractogram is theoretical, not measured: it uses DFT lattice parameters and positions (GGA+U) and CuKα.

Crystal structure
```
30
Lattice="5.2930 0.0000 0.0000 0.0774 5.4921 0.0000 0.0274 2.6605 14.5222" Properties=species:S:1:pos:R:3 pbc="T T T"
V 0.0000 0.0000 0.0000
V 0.0575 2.7745 4.8464
V 2.6245 2.2447 9.7706
V 2.7669 2.6034 0.0469
V 2.9724 5.5419 4.8366
V 5.2642 5.0333 9.6687
O 1.7604 6.4518 10.0189
O 3.8963 1.3224 4.5247
O 3.9931 4.0683 9.4246
O 4.3509 4.0591 4.5456
O 4.3851 3.9841 14.2346
F 0.5940 2.3106 3.2199
F 0.6844 5.1562 8.0490
F 0.7440 7.7918 12.9106
F 1.2500 3.6233 0.3817
F 1.2899 3.6446 10.1159
F 1.3942 6.3609 5.2288
F 1.6166 3.5987 5.2434
F 1.6379 0.9305 0.4158
F 2.3991 5.0658 3.2275
F 2.4437 5.0218 12.8552
F 2.4307 2.5545 8.0362
F 3.2698 5.1942 6.5479
F 3.2992 2.5757 1.7316
F 3.3116 2.5334 11.3852
F 3.9332 6.8340 14.1889
F 4.3369 6.7327 9.3286
F 5.0201 2.4160 6.5495
F 5.0820 5.2167 1.7225
F 5.1464 5.3899 11.4045
```

The 10 most intense peaks (15 to 90 degrees two-theta), in order of falling intensity:
2θ (°), d_spacing, Rel. int.
18.33, 4.841, 100.0
24.96, 3.568, 93.1
25.27, 3.525, 92.3
32.61, 2.746, 14.4
37.14, 2.421, 14.4
48.09, 1.892, 14.3
47.37, 1.919, 13.8
41.00, 2.201, 13.0
53.06, 1.726, 12.3
39.13, 2.302, 9.4



5.
Diffraction record for V6O7F5. The powder diffractogram is theoretical, not measured: it uses DFT lattice parameters and positions (GGA+U) and CuKα.

Crystal structure
```
18
Lattice="4.6815 0.0000 0.0000 0.1038 5.6151 0.0000 0.0732 0.4907 7.7871" Properties=species:S:1:pos:R:3 pbc="T T T"
V 0.0000 0.0000 0.0000
V 0.1025 3.8751 2.5541
V 2.1407 1.1887 2.6297
V 2.3417 3.3816 7.6925
V 2.4349 5.1067 5.3099
V 4.4976 2.0971 5.0744
O 0.9090 5.5464 1.8336
O 1.2851 1.0584 4.4862
O 1.4773 4.9548 7.0386
O 1.4059 2.7375 1.7247
O 3.3317 3.3679 5.9471
O 3.7254 2.2902 3.3667
O 3.7213 0.6308 6.0118
F 0.8966 2.1671 6.9524
F 0.9757 3.8352 4.4196
F 3.1774 1.2048 0.7420
F 3.2871 5.1006 3.3999
F 3.7425 4.0158 0.7759
```

The 10 most intense peaks (15 to 90 degrees two-theta), in order of falling intensity:
2θ (°), d_spacing, Rel. int.
26.64, 3.347, 100.0
27.18, 3.281, 97.6
34.58, 2.594, 51.4
34.70, 2.585, 49.9
52.33, 1.748, 30.8
52.42, 1.746, 30.2
52.86, 1.732, 28.3
39.58, 2.277, 22.8
67.19, 1.393, 20.8
59.50, 1.554, 20.2



6.
Diffraction record for V2O3F3. The powder diffractogram is theoretical, not measured: it uses DFT lattice parameters and positions (GGA+U) and CuKα.

Crystal structure
```
8
Lattice="5.1853 0.0000 0.0000 2.5791 4.5723 0.0000 0.0215 2.9829 4.4398" Properties=species:S:1:pos:R:3 pbc="T T T"
V 0.0000 0.0000 0.0000
V 5.1284 6.0916 2.3141
O 0.9782 0.9250 0.9696
O 1.4010 2.4272 3.1601
O 6.5278 6.3588 3.1827
F 2.9021 2.8275 0.9359
F 4.6440 4.4167 3.1761
F 6.0914 4.8195 1.0057
```

The 10 most intense peaks (15 to 90 degrees two-theta), in order of falling intensity:
2θ (°), d_spacing, Rel. int.
23.91, 3.722, 100.0
23.44, 3.795, 48.6
33.49, 2.676, 13.1
47.94, 1.898, 12.2
49.04, 1.857, 10.1
54.56, 1.682, 9.7
48.85, 1.865, 9.0
34.12, 2.628, 7.9
40.12, 2.248, 7.9
33.22, 2.697, 6.9



7.
Diffraction record for V6O7F5. The powder diffractogram is theoretical, not measured: it uses DFT lattice parameters and positions (GGA+U) and CuKα.

Crystal structure
```
18
Lattice="4.7271 0.0000 0.0000 0.1404 5.6033 0.0000 0.0124 0.5951 7.7298" Properties=species:S:1:pos:R:3 pbc="T T T"
V 0.0000 0.0000 0.0000
V 0.1114 3.8791 2.5815
V 0.1643 2.3022 5.0032
V 2.3562 5.0148 5.1665
V 2.5290 1.2336 2.5853
V 2.7303 3.5386 7.6041
O 1.1019 3.9027 4.2750
O 1.5997 4.9907 7.0439
O 1.5332 1.0835 4.3215
O 3.3555 1.2844 0.6867
O 3.4979 3.4514 5.9183
O 3.9538 4.0518 0.7837
O 3.9165 2.3462 3.2662
F 1.1282 5.5759 1.8267
F 1.0609 2.2259 6.8955
F 1.5750 2.7955 1.6813
F 3.4786 5.1382 3.3877
F 3.8571 0.6427 5.8753
```

The 10 most intense peaks (15 to 90 degrees two-theta), in order of falling intensity:
2θ (°), d_spacing, Rel. int.
27.03, 3.299, 100.0
26.46, 3.369, 98.7
35.03, 2.561, 47.6
53.32, 1.718, 29.7
52.40, 1.746, 29.2
52.55, 1.741, 28.2
67.18, 1.393, 26.8
34.82, 2.577, 24.3
39.85, 2.262, 22.0
34.62, 2.591, 22.0



8.
Diffraction record for V3O4F2. The powder diffractogram is theoretical, not measured: it uses DFT lattice parameters and positions (GGA+U) and CuKα.

Crystal structure
```
18
Lattice="5.1642 0.0000 0.0000 2.4660 5.0541 0.0000 2.3076 1.7883 8.3830" Properties=species:S:1:pos:R:3 pbc="T T T"
V 0.0000 0.0000 0.0000
V 2.3369 2.7878 5.4888
V 2.3987 2.1466 2.0893
V 4.9436 3.6049 4.1583
V 4.9620 4.3634 1.1963
V 7.3312 5.6955 6.1585
O 1.6692 0.9062 0.7328
O 3.2285 2.6063 3.8007
O 3.2349 3.5224 0.9939
O 3.2467 1.4481 6.6461
O 6.4954 4.4472 5.0463
O 5.6596 1.9212 5.2169
O 5.7989 3.1965 2.4036
O 8.1376 5.8820 7.9289
F 3.8094 4.2366 5.7820
F 4.3507 5.2616 3.1238
F 4.0472 0.6896 1.5905
F 6.8480 3.3901 7.3763
```

The 10 most intense peaks (15 to 90 degrees two-theta), in order of falling intensity:
2θ (°), d_spacing, Rel. int.
18.84, 4.709, 100.0
24.35, 3.656, 76.4
20.61, 4.309, 71.7
22.71, 3.915, 67.9
23.48, 3.789, 66.5
32.05, 2.792, 64.8
21.20, 4.192, 60.4
53.55, 1.711, 60.0
38.65, 2.329, 58.2
31.38, 2.851, 52.4



9.
Diffraction record for VOF3. The powder diffractogram is theoretical, not measured: it uses DFT lattice parameters and positions (GGA+U) and CuKα.

Crystal structure
```
10
Lattice="4.8150 -2.9515 0.0000 4.8150 2.9515 0.0000 -0.1558 0.0000 4.9658" Properties=species:S:1:pos:R:3 pbc="T T T"
V 0.0000 0.0000 0.0000
V 4.7370 -1.1472 2.4829
O 0.7582 0.5008 3.5095
O 8.7158 0.5008 1.4564
F 3.5139 1.8223 4.3059
F 5.9601 1.8223 0.6600
F 3.5727 0.0828 1.9721
F 5.9014 0.0828 2.9938
F 3.5843 -1.3372 4.0225
F 5.8898 -1.3372 0.9433
```

The 10 most intense peaks (15 to 90 degrees two-theta), in order of falling intensity:
2θ (°), d_spacing, Rel. int.
18.44, 4.813, 100.0
17.63, 5.032, 75.5
24.99, 3.564, 75.0
40.46, 2.230, 59.4
25.41, 3.506, 58.2
40.35, 2.235, 32.2
52.85, 1.732, 26.2
64.53, 1.444, 17.5
31.74, 2.819, 15.7
51.95, 1.760, 12.5



10.
Diffraction record for V2OF5. The powder diffractogram is theoretical, not measured: it uses DFT lattice parameters and positions (GGA+U) and CuKα.

Crystal structure
```
32
Lattice="4.7160 0.0000 0.0000 0.0000 5.0636 0.0000 -4.7129 0.0000 17.4143" Properties=species:S:1:pos:R:3 pbc="T T T"
V 0.0000 0.0083 0.0000
V -2.3565 5.0553 8.7072
V 0.0207 2.4823 4.1475
V -2.3357 2.5813 12.8546
V -2.4881 0.0882 14.6989
V -0.1317 4.9753 5.9918
V 0.1146 2.3798 10.0272
V 2.4710 2.6838 1.3200
O -3.5560 0.5709 15.9027
O -1.1995 4.4926 7.1956
O 1.1394 1.0408 9.8996
O 3.4959 4.0227 1.1924
F -3.3686 0.9214 13.1279
F -1.0121 4.1422 4.4207
F -1.0347 1.6227 5.6172
F -3.3912 3.4409 14.3244
F -1.1776 1.6449 8.7454
F 1.1789 3.4187 0.0382
F 1.1959 1.0061 1.2198
F -1.1605 4.0574 9.9270
F -1.1180 1.8426 11.4494
F 1.2385 3.2209 2.7422
F 0.9924 0.8604 4.4791
F -1.3641 4.2032 13.1863
F -1.3441 1.6079 14.3313
F 1.0123 3.4557 5.6241
F 1.2024 0.6821 7.1983
F -1.1541 4.3814 15.9054
F 3.4864 1.6036 0.0243
F 1.1300 3.4599 8.7314
F 3.4986 1.8028 2.7576
F 1.1422 3.2607 11.4648
```

The 10 most intense peaks (15 to 90 degrees two-theta), in order of falling intensity:
2θ (°), d_spacing, Rel. int.
20.29, 4.377, 100.0
30.13, 2.966, 92.4
24.32, 3.660, 66.1
40.62, 2.221, 58.2
53.22, 1.721, 55.9
19.50, 4.552, 45.5
20.40, 4.354, 33.1
53.07, 1.726, 29.5
40.44, 2.231, 29.1
26.33, 3.385, 26.7



11.
Diffraction record for V2OF5. The powder diffractogram is theoretical, not measured: it uses DFT lattice parameters and positions (GGA+U) and CuKα.

Crystal structure
```
24
Lattice="5.2390 0.0000 0.0000 -0.0266 5.4138 0.0000 -2.5759 -2.1422 11.3828" Properties=species:S:1:pos:R:3 pbc="T T T"
V 0.0000 0.0000 0.0000
V -0.1647 0.1900 3.7835
V -0.0640 0.5135 7.5456
V -0.0643 0.6991 11.3471
V 2.5288 3.0364 3.7682
V 2.4491 3.0918 7.5929
O 0.9227 4.0510 0.2415
O 1.4979 1.7199 7.8399
O 4.0910 4.2332 4.0349
F -1.1313 2.1240 7.1727
F 1.4543 1.2603 0.3711
F -0.5808 0.5919 9.4447
F 0.4507 0.3900 5.6417
F 0.9454 1.8493 3.4429
F 1.4598 4.6415 3.3501
F 1.0112 -1.0647 7.9459
F 2.0310 3.1938 5.6626
F 3.0284 2.9351 1.8593
F 0.9772 2.3174 10.9426
F 1.5278 -0.4824 11.0240
F 3.6117 1.4531 4.1637
F 4.6406 0.2773 1.8513
F 3.0527 3.3732 9.4462
F 3.5901 -0.6715 7.2113
```

The 10 most intense peaks (15 to 90 degrees two-theta), in order of falling intensity:
2θ (°), d_spacing, Rel. int.
23.71, 3.753, 100.0
23.59, 3.772, 98.7
23.45, 3.794, 98.5
32.94, 2.719, 28.4
39.79, 2.266, 27.4
53.70, 1.707, 22.9
47.95, 1.897, 22.1
48.25, 1.886, 20.6
48.51, 1.877, 19.7
39.56, 2.278, 17.7